1.
Starting from a crystal structure in the Materials Project, relaxed with GGA-PBE, the X-ray diffraction stick pattern of SmSnPt was simulated for Cu Kα.
Neutral-atom scattering factors, no anomalous dispersion.

The 10 most intense peaks (10 to 90 degrees two-theta), by angle:
31.8°, intensity 48; 32.8°, intensity 35; 33.0°, intensity 100; 38.2°, intensity 30; 38.6°, intensity 68; 39.0°, intensity 47; 51.9°, intensity 19; 55.8°, intensity 20; 62.7°, intensity 26; 70.9°, intensity 17

```
data_SmSnPt
_chemical_formula_sum 'Sm4 Sn4 Pt4'
_space_group_name_H-M_alt 'P 1'
_space_group_IT_number 1
_cell_length_a 7.385
_cell_length_b 4.617
_cell_length_c 8.103
_cell_angle_alpha 90.00
_cell_angle_beta 90.00
_cell_angle_gamma 90.00
loop_
_space_group_symop_operation_xyz
'x,y,z'
loop_
_atom_site_label
_atom_site_fract_x
_atom_site_fract_y
_atom_site_fract_z
_atom_site_occupancy
Sm1 0.011 0.250 0.197 1
Sm2 0.489 0.750 0.697 1
Sm3 0.511 0.250 0.303 1
Sm4 0.989 0.750 0.803 1
Sn1 0.178 0.250 0.584 1
Sn2 0.322 0.750 0.084 1
Sn3 0.678 0.250 0.916 1
Sn4 0.822 0.750 0.416 1
Pt1 0.213 0.750 0.409 1
Pt2 0.287 0.250 0.909 1
Pt3 0.713 0.750 0.091 1
Pt4 0.787 0.250 0.591 1
```



2.
Starting from a crystal structure in the Materials Project, relaxed with GGA-PBE, the X-ray diffraction stick pattern of CaO2 was simulated for Cu Kα.
Neutral-atom scattering factors, no anomalous dispersion.

The 10 most intense peaks (10 to 90 degrees two-theta), by angle:
25.1°, intensity 22; 27.9°, intensity 26; 37.9°, intensity 100; 49.4°, intensity 40; 56.1°, intensity 13; 59.5°, intensity 26; 63.8°, intensity 17; 80.9°, intensity 9; 84.7°, intensity 13; 87.9°, intensity 4

```
data_CaO2
_chemical_formula_sum 'Ca1 O2'
_space_group_name_H-M_alt 'P 1'
_space_group_IT_number 1
_cell_length_a 3.693
_cell_length_b 3.693
_cell_length_c 3.552
_cell_angle_alpha 90.00
_cell_angle_beta 90.00
_cell_angle_gamma 120.00
loop_
_space_group_symop_operation_xyz
'x,y,z'
loop_
_atom_site_label
_atom_site_fract_x
_atom_site_fract_y
_atom_site_fract_z
_atom_site_occupancy
Ca1 0.000 0.000 0.000 1
O1 0.333 0.667 0.716 1
O2 0.667 0.333 0.284 1
```



3.
Starting from a crystal structure in the Materials Project, relaxed with GGA-PBE, the X-ray diffraction stick pattern of Tm4CdPt was simulated for Cu Kα.
Neutral-atom scattering factors, no anomalous dispersion.

The 10 most intense peaks (10 to 90 degrees two-theta), by angle:
28.8°, intensity 17; 32.5°, intensity 39; 34.6°, intensity 100; 37.7°, intensity 35; 58.0°, intensity 39; 59.3°, intensity 14; 69.3°, intensity 13; 72.5°, intensity 12; 87.7°, intensity 13; 89.6°, intensity 14

```
data_Tm4CdPt
_chemical_formula_sum 'Tm16 Cd4 Pt4'
_space_group_name_H-M_alt 'P 1'
_space_group_IT_number 1
_cell_length_a 9.539
_cell_length_b 9.539
_cell_length_c 9.539
_cell_angle_alpha 60.00
_cell_angle_beta 60.00
_cell_angle_gamma 60.00
loop_
_space_group_symop_operation_xyz
'x,y,z'
loop_
_atom_site_label
_atom_site_fract_x
_atom_site_fract_y
_atom_site_fract_z
_atom_site_occupancy
Tm1 0.185 0.185 0.815 1
Tm2 0.185 0.815 0.185 1
Tm3 0.185 0.815 0.815 1
Tm4 0.397 0.397 0.397 1
Tm5 0.397 0.397 0.808 1
Tm6 0.397 0.808 0.397 1
Tm7 0.561 0.561 0.939 1
Tm8 0.561 0.939 0.561 1
Tm9 0.561 0.939 0.939 1
Tm10 0.808 0.397 0.397 1
Tm11 0.815 0.185 0.185 1
Tm12 0.815 0.185 0.815 1
Tm13 0.815 0.815 0.185 1
Tm14 0.939 0.561 0.561 1
Tm15 0.939 0.561 0.939 1
Tm16 0.939 0.939 0.561 1
Cd1 0.168 0.168 0.168 1
Cd2 0.168 0.168 0.497 1
Cd3 0.168 0.497 0.168 1
Cd4 0.497 0.168 0.168 1
Pt1 0.180 0.607 0.607 1
Pt2 0.607 0.180 0.607 1
Pt3 0.607 0.607 0.180 1
Pt4 0.607 0.607 0.607 1
```



4.
Starting from a crystal structure in the Materials Project, relaxed with GGA-PBE, the X-ray diffraction stick pattern of In2S3O12 was simulated for Cu Kα.
Neutral-atom scattering factors, no anomalous dispersion.

The 10 most intense peaks (10 to 90 degrees two-theta), by angle:
14.1°, intensity 61; 19.3°, intensity 100; 20.7°, intensity 60; 23.6°, intensity 61; 28.4°, intensity 60; 30.9°, intensity 84; 35.4°, intensity 34; 36.3°, intensity 34; 50.7°, intensity 30; 56.2°, intensity 22

```
data_In2S3O12
_chemical_formula_sum 'In4 S6 O24'
_space_group_name_H-M_alt 'P 1'
_space_group_IT_number 1
_cell_length_a 9.263
_cell_length_b 9.263
_cell_length_c 9.263
_cell_angle_alpha 55.19
_cell_angle_beta 55.19
_cell_angle_gamma 55.19
loop_
_space_group_symop_operation_xyz
'x,y,z'
loop_
_atom_site_label
_atom_site_fract_x
_atom_site_fract_y
_atom_site_fract_z
_atom_site_occupancy
In1 0.145 0.145 0.145 1
In2 0.349 0.349 0.349 1
In3 0.651 0.651 0.651 1
In4 0.855 0.855 0.855 1
S1 0.041 0.456 0.751 1
S2 0.249 0.959 0.544 1
S3 0.456 0.751 0.041 1
S4 0.544 0.249 0.959 1
S5 0.751 0.041 0.456 1
S6 0.959 0.544 0.249 1
O1 0.019 0.598 0.798 1
O2 0.130 0.867 0.736 1
O3 0.133 0.264 0.870 1
O4 0.145 0.529 0.210 1
O5 0.164 0.489 0.549 1
O6 0.202 0.981 0.402 1
O7 0.210 0.145 0.529 1
O8 0.264 0.870 0.133 1
O9 0.402 0.202 0.981 1
O10 0.451 0.836 0.511 1
O11 0.471 0.790 0.855 1
O12 0.489 0.549 0.164 1
O13 0.511 0.451 0.836 1
O14 0.529 0.210 0.145 1
O15 0.549 0.164 0.489 1
O16 0.598 0.798 0.019 1
O17 0.736 0.130 0.867 1
O18 0.790 0.855 0.471 1
O19 0.798 0.019 0.598 1
O20 0.836 0.511 0.451 1
O21 0.855 0.471 0.790 1
O22 0.867 0.736 0.130 1
O23 0.870 0.133 0.264 1
O24 0.981 0.402 0.202 1
```



5.
Starting from a crystal structure in the Materials Project, relaxed with GGA-PBE, the X-ray diffraction stick pattern of Rb2NaTiF6 was simulated for Cu Kα.
Neutral-atom scattering factors, no anomalous dispersion.

The 10 most intense peaks (10 to 90 degrees two-theta), by angle:
20.5°, intensity 9; 29.1°, intensity 100; 35.9°, intensity 41; 41.7°, intensity 54; 51.7°, intensity 38; 60.4°, intensity 31; 68.5°, intensity 18; 72.3°, intensity 12; 76.1°, intensity 10; 83.5°, intensity 21

```
data_Rb2NaTiF6
_chemical_formula_sum 'Rb2 Na1 Ti1 F6'
_space_group_name_H-M_alt 'P 1'
_space_group_IT_number 1
_cell_length_a 6.127
_cell_length_b 6.127
_cell_length_c 6.127
_cell_angle_alpha 60.00
_cell_angle_beta 60.00
_cell_angle_gamma 60.00
loop_
_space_group_symop_operation_xyz
'x,y,z'
loop_
_atom_site_label
_atom_site_fract_x
_atom_site_fract_y
_atom_site_fract_z
_atom_site_occupancy
Rb1 0.250 0.250 0.250 1
Rb2 0.750 0.750 0.750 1
Na1 0.000 0.000 0.000 1
Ti1 0.500 0.500 0.500 1
F1 0.269 0.269 0.731 1
F2 0.269 0.731 0.269 1
F3 0.269 0.731 0.731 1
F4 0.731 0.269 0.269 1
F5 0.731 0.269 0.731 1
F6 0.731 0.731 0.269 1
```



6.
Starting from a crystal structure in the Materials Project, relaxed with GGA-PBE, the X-ray diffraction stick pattern of GaH3 was simulated for Cu Kα.
Neutral-atom scattering factors, no anomalous dispersion.

The 10 most intense peaks (10 to 90 degrees two-theta), by angle:
27.5°, intensity 44; 34.2°, intensity 100; 44.7°, intensity 24; 53.1°, intensity 28; 53.3°, intensity 31; 65.1°, intensity 8; 72.0°, intensity 11; 75.1°, intensity 10; 75.6°, intensity 19; 88.7°, intensity 13

```
data_GaH3
_chemical_formula_sum 'Ga1 H3'
_space_group_name_H-M_alt 'P 1'
_space_group_IT_number 1
_cell_length_a 3.820
_cell_length_b 3.820
_cell_length_c 3.820
_cell_angle_alpha 135.92
_cell_angle_beta 135.92
_cell_angle_gamma 64.11
loop_
_space_group_symop_operation_xyz
'x,y,z'
loop_
_atom_site_label
_atom_site_fract_x
_atom_site_fract_y
_atom_site_fract_z
_atom_site_occupancy
Ga1 0.000 0.000 0.000 1
H1 0.250 0.750 0.500 1
H2 0.500 0.500 0.000 1
H3 0.750 0.250 0.500 1
```



7.
Starting from a crystal structure in the Materials Project, relaxed with GGA-PBE, the X-ray diffraction stick pattern of Y10U4O27 was simulated for Cu Kα.
Neutral-atom scattering factors, no anomalous dispersion.

The 10 most intense peaks (10 to 90 degrees two-theta), by angle:
13.9°, intensity 19; 28.5°, intensity 49; 28.8°, intensity 51; 28.9°, intensity 100; 33.3°, intensity 20; 33.4°, intensity 38; 47.5°, intensity 18; 47.8°, intensity 18; 48.1°, intensity 35; 57.0°, intensity 21

```
data_Y10U4O27
_chemical_formula_sum 'Y10 U4 O27'
_space_group_name_H-M_alt 'P 1'
_space_group_IT_number 1
_cell_length_a 6.552
_cell_length_b 6.591
_cell_length_c 13.124
_cell_angle_alpha 99.04
_cell_angle_beta 99.11
_cell_angle_gamma 99.42
loop_
_space_group_symop_operation_xyz
'x,y,z'
loop_
_atom_site_label
_atom_site_fract_x
_atom_site_fract_y
_atom_site_fract_z
_atom_site_occupancy
Y1 0.000 0.000 0.000 1
Y2 0.001 0.967 0.494 1
Y3 0.145 0.529 0.635 1
Y4 0.154 0.540 0.152 1
Y5 0.279 0.097 0.782 1
Y6 0.431 0.681 0.424 1
Y7 0.463 0.697 0.929 1
Y8 0.553 0.246 0.065 1
Y9 0.557 0.247 0.563 1
Y10 0.708 0.817 0.201 1
U1 0.284 0.096 0.278 1
U2 0.709 0.818 0.700 1
U3 0.839 0.380 0.843 1
U4 0.857 0.403 0.354 1
O1 0.008 0.843 0.662 1
O2 0.051 0.851 0.152 1
O3 0.109 0.646 0.479 1
O4 0.149 0.452 0.826 1
O5 0.173 0.422 0.308 1
O6 0.238 0.215 0.624 1
O7 0.247 0.213 0.135 1
O8 0.302 0.980 0.941 1
O9 0.314 0.013 0.429 1
O10 0.394 0.796 0.267 1
O11 0.425 0.779 0.759 1
O12 0.443 0.571 0.076 1
O13 0.486 0.584 0.587 1
O14 0.533 0.355 0.395 1
O15 0.545 0.348 0.893 1
O16 0.590 0.139 0.233 1
O17 0.607 0.127 0.722 1
O18 0.680 0.932 0.552 1
O19 0.689 0.952 0.049 1
O20 0.763 0.699 0.370 1
O21 0.798 0.699 0.878 1
O22 0.808 0.488 0.694 1
O23 0.818 0.478 0.201 1
O24 0.884 0.298 0.498 1
O25 0.926 0.344 0.001 1
O26 0.931 0.067 0.827 1
O27 0.964 0.081 0.324 1
```